No. 1
Starting from a structure optimized by DFT (PBE), the X-ray diffraction stick pattern of Ba3CdPd2O6 was calculated for copper Kα.

Crystal structure
Cell lengths 6.1464, 6.1464, 6.8710 Å; angles 90.00, 90.00, 120.00 degrees
Space group P-3m1 (No. 164)
Inequivalent atoms, fractional coordinates:
Ba: 0.0000 0.0000 0.0000 [1 per cell]
Ba: 0.3333 0.6667 0.6324 [2 per cell]
Cd: 0.0000 0.0000 0.5000 [1 per cell]
Pd: 0.3333 0.6667 0.1509 [2 per cell]
O: 0.1686 0.3371 0.3017 [6 per cell]

Most intense lines, 2θ = 10–90°, in order of rising 2θ:
(hkl)  2θ/deg  intensity
1 1 0  29.06  1000
0 1 2  30.98  806
2 0 2  42.99  462
3 0 0  51.51  201
1 2 2  52.73  358
1 0 4  56.27  148
2 2 0  60.23  167
3 1 2  69.27  159



No. 2
Starting from a structure optimized by DFT (PBE), the X-ray diffraction stick pattern of LaGeOs was calculated for copper Kα.

Crystal structure
Cell lengths 4.1907, 4.4462, 14.6427 Å; angles 90.00, 90.00, 90.00 degrees
Space group Imm2 (No. 44)
Inequivalent atoms, fractional coordinates:
La: 0.0000 0.0000 0.0000 [2 per cell]
La: 0.0000 0.5000 0.2506 [2 per cell]
Ge: 0.0000 0.0000 0.4234 [2 per cell]
Ge: 0.0000 0.5000 0.6653 [2 per cell]
Os: 0.0000 0.0000 0.5912 [2 per cell]
Os: 0.0000 0.5000 0.8352 [2 per cell]

Most intense lines, 2θ = 10–90°, in order of rising 2θ:
(hkl)  2θ/deg  intensity
0 1 3  27.13  170
1 1 2  31.79  1000
0 1 5  36.75  267
1 0 5  37.47  321
0 2 0  40.58  262
2 0 0  43.18  220
1 2 5  56.41  197
2 2 0  60.74  160



Copy entry 2 word for word.
Starting from a structure optimized by DFT (PBE), the X-ray diffraction stick pattern of LaGeOs was calculated for copper Kα.

Crystal structure
Cell lengths 4.1907, 4.4462, 14.6427 Å; angles 90.00, 90.00, 90.00 degrees
Space group Imm2 (No. 44)
Inequivalent atoms, fractional coordinates:
La: 0.0000 0.0000 0.0000 [2 per cell]
La: 0.0000 0.5000 0.2506 [2 per cell]
Ge: 0.0000 0.0000 0.4234 [2 per cell]
Ge: 0.0000 0.5000 0.6653 [2 per cell]
Os: 0.0000 0.0000 0.5912 [2 per cell]
Os: 0.0000 0.5000 0.8352 [2 per cell]

Most intense lines, 2θ = 10–90°, in order of rising 2θ:
(hkl)  2θ/deg  intensity
0 1 3  27.13  170
1 1 2  31.79  1000
0 1 5  36.75  267
1 0 5  37.47  321
0 2 0  40.58  262
2 0 0  43.18  220
1 2 5  56.41  197
2 2 0  60.74  160